LaYB4Rh6: theoretical powder XRD pattern (Cu Kα (λ = 1.5418 Å)), based on the GGA-PBE geometry in the Materials Project.
Intensities are scaled so that the largest is 100.

Top 8 peaks for 15 to 90 degrees two-theta, sorted by position:
- d 3.130, 2θ 28.52, I 13.9
- d 2.616, 2θ 34.28, I 65.3
- d 2.383, 2θ 37.75, I 100.0
- d 2.067, 2θ 43.81, I 40.2
- d 1.896, 2θ 47.98, I 24.6
- d 1.561, 2θ 59.18, I 26.6
- d 1.376, 2θ 68.15, I 18.6
- d 1.308, 2θ 72.22, I 28.8

Structural model:
a = 3.130 Å, b = 5.502 Å, c = 9.535 Å
α = 90.00°, β = 90.00°, γ = 90.00°
Fractional positions:
La1 0.000 0.000 0.000
Y1 0.000 0.500 0.500
B1 0.000 0.000 0.334
B2 0.000 0.000 0.666
B3 0.000 0.500 0.167
B4 0.000 0.500 0.833
Rh1 0.500 0.000 0.500
Rh2 0.500 0.253 0.255
Rh3 0.500 0.253 0.745
Rh4 0.500 0.500 0.000
Rh5 0.500 0.747 0.255
Rh6 0.500 0.747 0.745

Ce3Al2I2: theoretical powder XRD pattern (Cu Kα (λ = 1.5418 Å)), based on the GGA-PBE geometry in the Materials Project.
Intensities are scaled so that the largest is 100.

Top 8 peaks for 15 to 90 degrees two-theta, sorted by position:
- d 3.354, 2θ 26.57, I 45.6
- d 3.090, 2θ 28.90, I 45.4
- d 3.023, 2θ 29.55, I 100.0
- d 2.911, 2θ 30.72, I 29.3
- d 2.634, 2θ 34.04, I 33.0
- d 2.395, 2θ 37.55, I 25.9
- d 2.233, 2θ 40.39, I 35.4
- d 2.108, 2θ 42.90, I 25.5

Structural model:
a = 9.977 Å, b = 9.977 Å, c = 12.150 Å
α = 120.82°, β = 120.82°, γ = 24.40°
Fractional positions:
Ce1 0.035 0.035 0.191
Ce2 0.255 0.255 0.695
Ce3 0.328 0.328 0.102
Ce4 0.672 0.672 0.898
Ce5 0.745 0.745 0.305
Ce6 0.965 0.965 0.809
Al1 0.160 0.160 0.084
Al2 0.426 0.426 0.967
Al3 0.574 0.574 0.033
Al4 0.840 0.840 0.916
I1 0.076 0.076 0.671
I2 0.359 0.359 0.560
I3 0.641 0.641 0.440
I4 0.924 0.924 0.329

TbSi4B18C: theoretical powder XRD pattern (Cu Kα (λ = 1.5418 Å)), based on the GGA-PBE geometry in the Materials Project.
Intensities are scaled so that the largest is 100.

Top 8 peaks for 15 to 90 degrees two-theta, sorted by position:
- d 5.010, 2θ 17.70, I 49.5
- d 4.192, 2θ 21.20, I 35.0
- d 3.828, 2θ 23.24, I 62.9
- d 3.678, 2θ 24.20, I 100.0
- d 2.967, 2θ 30.12, I 66.7
- d 2.555, 2θ 35.12, I 48.5
- d 2.505, 2θ 35.85, I 47.6
- d 2.275, 2θ 39.61, I 49.4

Structural model:
a = 7.936 Å, b = 7.936 Å, c = 7.911 Å
α = 101.57°, β = 101.57°, γ = 78.29°
Fractional positions:
Tb1 0.000 0.500 0.000
Tb2 0.500 0.000 0.000
Si1 0.071 0.071 0.928
Si2 0.154 0.769 0.245
Si3 0.231 0.846 0.755
Si4 0.236 0.236 0.162
Si5 0.764 0.764 0.838
Si6 0.769 0.154 0.245
Si7 0.846 0.231 0.755
Si8 0.929 0.929 0.072
B1 0.060 0.624 0.376
B2 0.085 0.393 0.327
B3 0.085 0.677 0.605
B4 0.128 0.298 0.521
B5 0.128 0.480 0.697
B6 0.228 0.488 0.512
B7 0.298 0.128 0.521
B8 0.302 0.481 0.872
B9 0.322 0.609 0.087
B10 0.323 0.915 0.395
B11 0.376 0.376 0.062
B12 0.376 0.940 0.624
B13 0.391 0.678 0.913
B14 0.393 0.085 0.327
B15 0.480 0.128 0.697
B16 0.481 0.302 0.872
B17 0.488 0.228 0.512
B18 0.488 0.488 0.770
B19 0.512 0.512 0.230
B20 0.512 0.772 0.488
B21 0.519 0.698 0.128
B22 0.520 0.872 0.303
B23 0.607 0.915 0.673
B24 0.609 0.322 0.087
B25 0.624 0.060 0.376
B26 0.624 0.624 0.938
B27 0.677 0.085 0.605
B28 0.678 0.391 0.913
B29 0.698 0.519 0.128
B30 0.702 0.872 0.479
B31 0.772 0.512 0.488
B32 0.872 0.520 0.303
B33 0.872 0.702 0.479
B34 0.915 0.323 0.395
B35 0.915 0.607 0.673
B36 0.940 0.376 0.624
C1 0.449 0.449 0.551
C2 0.551 0.551 0.449

DyAl2Si2: theoretical powder XRD pattern (Cu Kα (λ = 1.5418 Å)), based on the GGA-PBE geometry in the Materials Project.
Intensities are scaled so that the largest is 100.

Top 8 peaks for 15 to 90 degrees two-theta, sorted by position:
- d 3.650, 2θ 24.38, I 22.8
- d 3.189, 2θ 27.98, I 100.0
- d 2.439, 2θ 36.85, I 59.8
- d 2.108, 2θ 42.91, I 35.9
- d 1.758, 2θ 52.01, I 17.9
- d 1.595, 2θ 57.82, I 16.1
- d 1.517, 2θ 61.08, I 16.6
- d 1.272, 2θ 74.63, I 15.2

Structural model:
a = 4.215 Å, b = 4.215 Å, c = 6.557 Å
α = 90.00°, β = 90.00°, γ = 120.00°
Fractional positions:
Dy1 0.000 0.000 0.000
Al1 0.333 0.667 0.645
Al2 0.667 0.333 0.355
Si1 0.333 0.667 0.259
Si2 0.667 0.333 0.741

LiTi2O4: theoretical powder XRD pattern (Cu Kα (λ = 1.5418 Å)), based on the GGA-PBE geometry in the Materials Project.
Intensities are scaled so that the largest is 100.

Top 8 peaks for 15 to 90 degrees two-theta, sorted by position:
- d 5.254, 2θ 16.88, I 100.0
- d 2.549, 2θ 35.21, I 8.8
- d 2.453, 2θ 36.63, I 11.8
- d 2.165, 2θ 41.72, I 7.1
- d 2.159, 2θ 41.85, I 7.1
- d 1.999, 2θ 45.37, I 13.0
- d 1.568, 2θ 58.91, I 7.0
- d 1.488, 2θ 62.41, I 9.0

Structural model:
a = 7.866 Å, b = 7.887 Å, c = 10.650 Å
α = 80.84°, β = 87.27°, γ = 60.13°
Fractional positions:
Li1 0.000 0.000 0.000
Li2 0.017 0.907 0.517
Li3 0.287 0.559 0.004
Li4 0.355 0.197 0.560
Li5 0.564 0.129 0.000
Li6 0.647 0.753 0.560
Li7 0.861 0.492 0.044
Ti1 0.021 0.804 0.786
Ti2 0.106 0.451 0.286
Ti3 0.189 0.079 0.785
Ti4 0.255 0.727 0.284
Ti5 0.318 0.384 0.773
Ti6 0.380 0.027 0.277
Ti7 0.460 0.667 0.786
Ti8 0.552 0.296 0.285
Ti9 0.616 0.937 0.790
Ti10 0.677 0.591 0.285
Ti11 0.745 0.245 0.764
Ti12 0.820 0.868 0.277
Ti13 0.907 0.507 0.775
Ti14 0.963 0.164 0.278
O1 0.007 0.947 0.180
O2 0.062 0.671 0.381
O3 0.091 0.538 0.887
O4 0.136 0.339 0.677
O5 0.145 0.241 0.180
O6 0.201 0.947 0.381
O7 0.225 0.822 0.893
O8 0.260 0.645 0.686
O9 0.290 0.519 0.184
O10 0.353 0.229 0.381
O11 0.378 0.115 0.882
O12 0.419 0.924 0.678
O13 0.434 0.804 0.188
O14 0.490 0.519 0.378
O15 0.514 0.395 0.882
O16 0.550 0.205 0.679
O17 0.575 0.093 0.180
O18 0.635 0.808 0.381
O19 0.673 0.674 0.882
O20 0.690 0.507 0.678
O21 0.723 0.380 0.177
O22 0.786 0.083 0.382
O23 0.798 0.986 0.888
O24 0.837 0.779 0.675
O25 0.864 0.654 0.178
O26 0.921 0.377 0.378
O27 0.944 0.252 0.878
O28 0.983 0.058 0.682

HfGeO2: theoretical powder XRD pattern (Cu Kα (λ = 1.5418 Å)), based on the GGA-PBE geometry in the Materials Project.
Intensities are scaled so that the largest is 100.

Top 8 peaks for 15 to 90 degrees two-theta, sorted by position:
- d 5.522, 2θ 16.05, I 37.2
- d 2.761, 2θ 32.42, I 100.0
- d 2.681, 2θ 33.42, I 32.0
- d 2.278, 2θ 39.57, I 45.8
- d 1.736, 2θ 52.73, I 34.5
- d 1.563, 2θ 59.11, I 23.7
- d 1.391, 2θ 67.31, I 26.7
- d 1.122, 2θ 86.84, I 16.2

Structural model:
a = 7.036 Å, b = 7.036 Å, c = 7.036 Å
α = 125.51°, β = 125.51°, γ = 80.69°
Fractional positions:
Hf1 0.000 0.000 0.000
Hf2 0.000 0.000 0.500
Hf3 0.000 0.500 0.000
Hf4 0.500 0.000 0.500
Ge1 0.000 0.500 0.500
Ge2 0.500 0.000 0.000
Ge3 0.500 0.500 0.000
Ge4 0.500 0.500 0.500
O1 0.171 0.203 0.969
O2 0.203 0.171 0.469
O3 0.203 0.734 0.031
O4 0.266 0.797 0.469
O5 0.734 0.203 0.531
O6 0.797 0.266 0.969
O7 0.797 0.829 0.531
O8 0.829 0.797 0.031